[1]
Calculated X-ray powder pattern of ReBiO5 for Cu Kα X-rays, from a crystal structure in the Materials Project, relaxed with PBE.

Cell and atoms:
```
ReBiO5
1.0
5.956 0.000 0.000
0.000 12.127 0.000
-3.532 0.000 8.912
Re Bi O
4 4 20
Direct
0.165 0.148 0.442
0.165 0.352 0.942
0.835 0.648 0.058
0.835 0.852 0.558
0.005 0.571 0.642
0.005 0.929 0.142
0.995 0.071 0.858
0.995 0.429 0.358
0.129 0.691 0.159
0.129 0.809 0.659
0.182 0.094 0.615
0.182 0.406 0.115
0.189 0.561 0.490
0.189 0.939 0.990
0.255 0.047 0.335
0.255 0.453 0.835
0.337 0.231 0.971
0.337 0.269 0.471
0.663 0.731 0.529
0.663 0.769 0.029
0.745 0.547 0.165
0.745 0.953 0.665
0.811 0.061 0.010
0.811 0.439 0.510
0.818 0.594 0.885
0.818 0.906 0.385
0.871 0.191 0.341
0.871 0.309 0.841
```

Most intense lines, 2θ = 10–90°, by angle:
two_theta, Rel. int.
16.0, 100.0
17.6, 34.4
21.2, 48.4
21.8, 72.4
24.2, 29.8
26.3, 40.8
31.0, 28.9
31.2, 32.5
37.5, 27.9
40.3, 22.9

***

[2]
Calculated X-ray powder pattern of Mg2SnSbO6 for Cu Kα X-rays, from a crystal structure in the Materials Project, relaxed with PBE.

Cell and atoms:
```
Mg2SnSbO6
1.0
5.369 0.000 0.000
0.000 7.973 0.000
-0.023 0.000 5.501
Mg Sn Sb O
4 2 2 12
Direct
0.001 0.250 0.039
0.499 0.750 0.453
0.501 0.250 0.547
0.999 0.750 0.961
0.500 0.000 0.000
0.500 0.500 0.000
0.000 0.000 0.500
0.000 0.500 0.500
0.129 0.250 0.416
0.175 0.575 0.175
0.175 0.925 0.175
0.332 0.575 0.677
0.332 0.925 0.677
0.361 0.250 0.910
0.639 0.750 0.090
0.668 0.075 0.323
0.668 0.425 0.323
0.825 0.075 0.825
0.825 0.425 0.825
0.871 0.750 0.584
```

Most intense lines, 2θ = 10–90°, by angle:
two_theta, Rel. int.
22.3, 34.9
23.1, 64.5
32.4, 100.0
32.6, 24.0
33.4, 21.1
45.5, 12.9
51.7, 17.6
57.1, 13.5
59.0, 13.7
59.1, 13.1

***

[3]
Calculated X-ray powder pattern of LaCo4B4 for Cu Kα X-rays, from a crystal structure in the Materials Project, relaxed with PBE.

Cell and atoms:
```
LaCo4B4
1.0
7.140 0.000 0.000
0.000 7.140 0.000
0.000 0.000 3.792
La Co B
2 8 8
Direct
0.250 0.250 0.250
0.750 0.750 0.750
0.107 0.635 0.145
0.135 0.893 0.645
0.365 0.607 0.645
0.393 0.865 0.145
0.607 0.135 0.855
0.635 0.393 0.355
0.865 0.107 0.355
0.893 0.365 0.855
0.044 0.911 0.147
0.089 0.544 0.647
0.411 0.956 0.647
0.456 0.589 0.147
0.544 0.411 0.853
0.589 0.044 0.353
0.911 0.456 0.353
0.956 0.089 0.853
```

Most intense lines, 2θ = 10–90°, by angle:
two_theta, Rel. int.
24.9, 16.4
26.6, 39.9
35.6, 12.9
36.8, 100.0
39.9, 71.4
43.0, 14.4
49.8, 14.7
52.1, 23.2
64.1, 13.1
70.5, 18.9

***

[4]
Calculated X-ray powder pattern of Ba5Pb3 for Cu Kα X-rays, from a crystal structure in the Materials Project, relaxed with PBE.

Cell and atoms:
```
Ba5Pb3
1.0
-4.587 4.587 8.832
4.587 -4.587 8.832
4.587 4.587 -8.832
Ba Pb
10 6
Direct
0.000 0.000 0.000
0.034 0.534 0.852
0.182 0.034 0.500
0.318 0.818 0.852
0.466 0.318 0.500
0.500 0.500 0.000
0.534 0.682 0.500
0.682 0.182 0.148
0.818 0.966 0.500
0.966 0.466 0.148
0.120 0.380 0.500
0.250 0.250 0.000
0.380 0.880 0.260
0.620 0.120 0.740
0.750 0.750 0.000
0.880 0.620 0.500
```

Most intense lines, 2θ = 10–90°, by angle:
two_theta, Rel. int.
17.0, 25.4
26.5, 100.0
27.5, 16.5
28.0, 47.7
30.8, 51.4
33.5, 28.9
35.6, 15.9
40.9, 20.7
52.0, 19.1
55.1, 27.0

***

[5]
Calculated X-ray powder pattern of Gd3MnB7 for Cu Kα X-rays, from a crystal structure in the Materials Project, relaxed with PBE.

Cell and atoms:
```
Gd3MnB7
1.0
1.724 -7.955 0.000
1.724 7.955 0.000
0.000 0.000 9.371
Gd Mn B
6 2 14
Direct
0.104 0.896 0.561
0.104 0.896 0.939
0.241 0.759 0.250
0.759 0.241 0.750
0.896 0.104 0.061
0.896 0.104 0.439
0.054 0.946 0.250
0.946 0.054 0.750
0.273 0.727 0.531
0.273 0.727 0.969
0.370 0.630 0.653
0.370 0.630 0.847
0.462 0.538 0.250
0.477 0.523 0.599
0.477 0.523 0.901
0.523 0.477 0.099
0.523 0.477 0.401
0.538 0.462 0.750
0.630 0.370 0.153
0.630 0.370 0.347
0.727 0.273 0.031
0.727 0.273 0.469
```

Most intense lines, 2θ = 10–90°, by angle:
two_theta, Rel. int.
26.4, 77.2
29.5, 94.1
30.8, 71.8
32.4, 60.9
33.8, 43.3
38.5, 43.3
39.3, 100.0
39.7, 39.1
43.2, 41.8
58.7, 39.7

***

[6]
Calculated X-ray powder pattern of La4BrCl3O4 for Cu Kα X-rays, from a crystal structure in the Materials Project, relaxed with PBE.

Cell and atoms:
```
La4BrCl3O4
1.0
4.133 0.000 0.000
0.000 4.133 0.000
0.000 0.000 14.336
La Br Cl O
4 1 3 4
Direct
0.000 0.000 0.000
0.000 0.000 0.496
0.500 0.500 0.169
0.500 0.500 0.664
0.500 0.500 0.896
0.000 0.000 0.265
0.000 0.000 0.762
0.500 0.500 0.398
0.000 0.500 0.084
0.000 0.500 0.580
0.500 0.000 0.084
0.500 0.000 0.580
```

Most intense lines, 2θ = 10–90°, by angle:
two_theta, Rel. int.
12.3, 26.0
24.9, 60.2
30.6, 63.4
33.1, 100.0
39.8, 18.7
43.8, 34.9
49.3, 16.2
51.0, 22.6
56.0, 55.6
73.6, 24.3

***

[7]
Calculated X-ray powder pattern of ICl for Cu Kα X-rays, from a crystal structure in the Materials Project, relaxed with PBE.

Cell and atoms:
```
ICl
1.0
12.524 0.000 0.000
0.000 5.391 0.000
-4.607 0.000 10.661
I Cl
8 8
Direct
0.196 0.137 0.108
0.196 0.363 0.608
0.286 0.597 0.854
0.286 0.903 0.354
0.714 0.097 0.646
0.714 0.403 0.146
0.804 0.637 0.392
0.804 0.863 0.892
0.109 0.149 0.391
0.109 0.351 0.891
0.444 0.679 0.332
0.444 0.821 0.832
0.556 0.179 0.168
0.556 0.321 0.668
0.891 0.649 0.109
0.891 0.851 0.609
```

Most intense lines, 2θ = 10–90°, by angle:
two_theta, Rel. int.
15.4, 100.0
18.7, 91.8
21.3, 44.2
22.6, 81.3
23.5, 64.8
27.0, 68.5
28.9, 36.8
33.6, 52.9
43.1, 39.7
43.8, 38.1

***

[8]
Calculated X-ray powder pattern of CsV5Se8 for Cu Kα X-rays, from a crystal structure in the Materials Project, relaxed with PBE.

Cell and atoms:
```
CsV5Se8
1.0
9.318 -1.944 0.000
9.318 1.944 0.000
-2.340 0.000 8.684
Cs V Se
1 5 8
Direct
0.000 0.000 0.000
0.155 0.155 0.493
0.212 0.212 0.847
0.500 0.500 0.500
0.788 0.788 0.153
0.845 0.845 0.507
0.071 0.071 0.664
0.260 0.260 0.337
0.335 0.335 0.022
0.406 0.406 0.664
0.594 0.594 0.336
0.665 0.665 0.978
0.740 0.740 0.663
0.929 0.929 0.336
```

Most intense lines, 2θ = 10–90°, by angle:
two_theta, Rel. int.
30.6, 100.0
30.9, 26.3
31.5, 49.4
31.9, 67.9
34.1, 29.2
38.5, 37.6
44.7, 37.0
46.7, 32.8
49.9, 51.0
59.1, 20.5